# 1
Structure and simulated powder diffraction line list of La2PrNdHo2 (a crystal structure in Alexandria, relaxed with PBE; Cu Kα, 1.54184 Å).
Lines closer than 0.1° are merged.

Structure:
a = 5.681 Å, b = 10.469 Å, c = 7.014 Å
α = 90.00°, β = 90.00°, γ = 90.00°
Atoms (fractional coordinates):
La 0.000 0.023 0.000
La 0.000 0.977 0.500
La 0.500 0.196 0.270
La 0.500 0.804 0.770
Pr 0.000 0.308 0.630
Pr 0.000 0.692 0.130
Nd 0.500 0.474 0.892
Nd 0.500 0.526 0.392
Ho 0.000 0.370 0.139
Ho 0.000 0.630 0.639
Ho 0.500 0.132 0.758
Ho 0.500 0.868 0.258

The 10 most intense peaks (2θ = 5–70°), sorted by position:
| two_theta | d_spacing | intensity |
| --- | --- | --- |
| 29.9 | 2.984 | 67 |
| 30.1 | 2.973 | 100 |
| 30.7 | 2.913 | 22 |
| 31.2 | 2.870 | 63 |
| 31.5 | 2.840 | 62 |
| 32.7 | 2.738 | 35 |
| 36.3 | 2.474 | 29 |
| 43.1 | 2.099 | 18 |
| 48.8 | 1.865 | 25 |
| 55.2 | 1.664 | 18 |

# 2
Structure and simulated powder diffraction line list of La2Pr6NdHo3 (a crystal structure in Alexandria, relaxed with PBE; Cu Kα, 1.54184 Å).
Lines closer than 0.1° are merged.

Structure:
a = 6.376 Å, b = 6.376 Å, c = 12.108 Å
α = 95.03°, β = 95.03°, γ = 120.04°
Atoms (fractional coordinates):
La 0.167 0.833 0.000
La 0.833 0.167 0.000
Pr 0.081 0.414 0.744
Pr 0.253 0.253 0.256
Pr 0.414 0.081 0.744
Pr 0.586 0.919 0.256
Pr 0.747 0.747 0.744
Pr 0.919 0.586 0.256
Nd 0.500 0.500 0.000
Ho 0.000 0.000 0.500
Ho 0.333 0.667 0.500
Ho 0.667 0.333 0.500

The 10 most intense peaks (2θ = 5–70°), sorted by position:
| two_theta | d_spacing | intensity |
| --- | --- | --- |
| 29.8 | 3.002 | 100 |
| 30.0 | 2.980 | 32 |
| 34.6 | 2.595 | 67 |
| 49.5 | 1.840 | 24 |
| 49.8 | 1.830 | 23 |
| 58.9 | 1.569 | 15 |
| 59.0 | 1.566 | 29 |
| 59.3 | 1.559 | 14 |
| 61.8 | 1.501 | 12 |
| 62.3 | 1.490 | 4 |

# 3
Structure and simulated powder diffraction line list of LaPrNdHo2 (a crystal structure in Alexandria, relaxed with PBE; Cu Kα, 1.54184 Å).
Lines closer than 0.1° are merged.

Structure:
a = 7.248 Å, b = 7.248 Å, c = 7.252 Å
α = 90.00°, β = 90.00°, γ = 107.88°
Atoms (fractional coordinates):
La 0.233 0.767 0.750
La 0.767 0.233 0.250
Pr 0.224 0.776 0.250
Pr 0.776 0.224 0.750
Nd 0.500 0.500 0.250
Nd 0.500 0.500 0.750
Ho 0.187 0.187 0.000
Ho 0.187 0.187 0.500
Ho 0.813 0.813 0.000
Ho 0.813 0.813 0.500

The 10 most intense peaks (2θ = 5–70°), sorted by position:
| two_theta | d_spacing | intensity |
| --- | --- | --- |
| 15.1 | 5.859 | 21 |
| 25.8 | 3.449 | 38 |
| 27.8 | 3.210 | 27 |
| 29.0 | 3.083 | 46 |
| 30.5 | 2.930 | 49 |
| 32.4 | 2.763 | 100 |
| 35.4 | 2.537 | 38 |
| 39.2 | 2.299 | 31 |
| 45.1 | 2.010 | 50 |
| 65.6 | 1.423 | 18 |

# 4
Structure and simulated powder diffraction line list of La2PrNd6Ho3 (a crystal structure in Alexandria, relaxed with PBE; Cu Kα, 1.54184 Å).
Lines closer than 0.1° are merged.

Structure:
a = 6.347 Å, b = 6.347 Å, c = 12.097 Å
α = 95.02°, β = 95.02°, γ = 120.04°
Atoms (fractional coordinates):
La 0.167 0.833 0.000
La 0.833 0.167 0.000
Pr 0.500 0.500 0.000
Nd 0.081 0.414 0.744
Nd 0.253 0.253 0.256
Nd 0.414 0.081 0.744
Nd 0.586 0.919 0.256
Nd 0.747 0.747 0.744
Nd 0.919 0.586 0.256
Ho 0.000 0.000 0.500
Ho 0.333 0.667 0.500
Ho 0.667 0.333 0.500

The 10 most intense peaks (2θ = 5–70°), sorted by position:
| two_theta | d_spacing | intensity |
| --- | --- | --- |
| 29.9 | 2.990 | 100 |
| 30.0 | 2.977 | 33 |
| 34.7 | 2.587 | 67 |
| 49.8 | 1.832 | 24 |
| 49.9 | 1.826 | 24 |
| 59.2 | 1.561 | 34 |
| 59.2 | 1.560 | 9 |
| 59.4 | 1.557 | 14 |
| 62.1 | 1.495 | 12 |
| 62.4 | 1.489 | 4 |

# 5
Structure and simulated powder diffraction line list of La2NdHoSb4 (a crystal structure in Alexandria, relaxed with PBE; Cu Kα, 1.54184 Å).
Lines closer than 0.1° are merged.

Structure:
a = 7.853 Å, b = 4.542 Å, c = 7.861 Å
α = 90.00°, β = 109.50°, γ = 90.00°
Atoms (fractional coordinates):
La 0.000 0.000 0.000
La 0.000 0.500 0.500
Nd 0.500 0.000 0.500
Ho 0.500 0.500 0.000
Sb 0.258 0.500 0.248
Sb 0.261 0.000 0.758
Sb 0.739 0.000 0.242
Sb 0.742 0.500 0.752

The 10 most intense peaks (2θ = 5–70°), sorted by position:
| two_theta | d_spacing | intensity |
| --- | --- | --- |
| 12.0 | 7.404 | 1 |
| 24.0 | 3.705 | 2 |
| 27.8 | 3.209 | 100 |
| 36.4 | 2.469 | 1 |
| 39.7 | 2.269 | 76 |
| 47.0 | 1.935 | 1 |
| 49.2 | 1.853 | 27 |
| 57.4 | 1.604 | 13 |
| 65.0 | 1.435 | 29 |
| 65.0 | 1.434 | 6 |

# 6
Structure and simulated powder diffraction line list of La2Nd4HoSc (a crystal structure in Alexandria, relaxed with PBE; Cu Kα, 1.54184 Å).
Lines closer than 0.1° are merged.

Structure:
a = 5.089 Å, b = 5.128 Å, c = 10.316 Å
α = 90.00°, β = 90.07°, γ = 90.00°
Atoms (fractional coordinates):
La 0.000 0.000 0.000
La 0.500 0.500 0.500
Nd 0.000 0.500 0.254
Nd 0.000 0.500 0.746
Nd 0.499 0.000 0.746
Nd 0.501 0.000 0.254
Ho 0.500 0.500 0.000
Sc 0.000 0.000 0.500

The 10 most intense peaks (2θ = 5–70°), sorted by position:
| two_theta | d_spacing | intensity |
| --- | --- | --- |
| 30.2 | 2.959 | 100 |
| 34.8 | 2.579 | 17 |
| 35.0 | 2.564 | 17 |
| 35.3 | 2.544 | 17 |
| 50.2 | 1.818 | 12 |
| 50.4 | 1.811 | 12 |
| 59.6 | 1.552 | 14 |
| 59.8 | 1.546 | 14 |
| 60.2 | 1.537 | 14 |
| 62.8 | 1.479 | 12 |

# 7
Structure and simulated powder diffraction line list of La2NdSm2Ho2 (a crystal structure in Alexandria, relaxed with PBE; Cu Kα, 1.54184 Å).
Lines closer than 0.1° are merged.

Structure:
a = 6.302 Å, b = 6.302 Å, c = 8.169 Å
α = 97.29°, β = 97.29°, γ = 48.15°
Atoms (fractional coordinates):
La 0.142 0.142 0.427
La 0.858 0.858 0.573
Nd 0.000 0.000 0.000
Sm 0.285 0.285 0.860
Sm 0.715 0.715 0.140
Ho 0.429 0.429 0.284
Ho 0.571 0.571 0.716

The 10 most intense peaks (2θ = 5–70°), sorted by position:
| two_theta | d_spacing | intensity |
| --- | --- | --- |
| 30.0 | 2.975 | 100 |
| 34.8 | 2.579 | 34 |
| 34.9 | 2.571 | 17 |
| 49.9 | 1.828 | 6 |
| 50.1 | 1.820 | 30 |
| 59.4 | 1.557 | 14 |
| 59.5 | 1.552 | 22 |
| 59.6 | 1.551 | 7 |
| 62.3 | 1.490 | 6 |
| 62.5 | 1.485 | 6 |

# 8
Structure and simulated powder diffraction line list of La4NdSm2Ho (a crystal structure in Alexandria, relaxed with PBE; Cu Kα, 1.54184 Å).
Lines closer than 0.1° are merged.

Structure:
a = 5.229 Å, b = 5.263 Å, c = 10.225 Å
α = 90.00°, β = 90.00°, γ = 90.00°
Atoms (fractional coordinates):
La 0.000 0.000 0.248
La 0.000 0.000 0.752
La 0.500 0.500 0.248
La 0.500 0.500 0.752
Nd 0.000 0.500 0.500
Sm 0.000 0.500 0.000
Sm 0.500 0.000 0.500
Ho 0.500 0.000 0.000

The 10 most intense peaks (2θ = 5–70°), sorted by position:
| two_theta | d_spacing | intensity |
| --- | --- | --- |
| 29.8 | 3.002 | 100 |
| 34.1 | 2.632 | 17 |
| 34.3 | 2.615 | 17 |
| 35.1 | 2.556 | 16 |
| 49.1 | 1.855 | 12 |
| 49.7 | 1.834 | 12 |
| 58.3 | 1.582 | 15 |
| 58.6 | 1.574 | 15 |
| 59.7 | 1.549 | 14 |
| 61.8 | 1.501 | 12 |

# 9
Structure and simulated powder diffraction line list of LaNd2Sm5Ho (a crystal structure in Alexandria, relaxed with PBE; Cu Kα, 1.54184 Å).
Lines closer than 0.1° are merged.

Structure:
a = 10.097 Å, b = 10.097 Å, c = 10.097 Å
α = 127.79°, β = 127.79°, γ = 76.97°
Atoms (fractional coordinates):
La 0.250 0.250 0.000
La 0.750 0.750 0.000
Nd 0.117 0.617 0.735
Nd 0.383 0.117 0.500
Nd 0.617 0.883 0.500
Nd 0.883 0.383 0.265
Sm 0.000 0.000 0.000
Sm 0.071 0.154 0.500
Sm 0.154 0.654 0.083
Sm 0.346 0.429 0.500
Sm 0.429 0.929 0.083
Sm 0.500 0.500 0.000
Sm 0.571 0.071 0.917
Sm 0.654 0.571 0.500
Sm 0.846 0.346 0.917
Sm 0.929 0.846 0.500
Ho 0.250 0.750 0.500
Ho 0.750 0.250 0.500

The 10 most intense peaks (2θ = 5–70°), sorted by position:
| two_theta | d_spacing | intensity |
| --- | --- | --- |
| 28.1 | 3.173 | 49 |
| 28.4 | 3.142 | 51 |
| 30.3 | 2.953 | 100 |
| 33.9 | 2.648 | 13 |
| 36.3 | 2.474 | 12 |
| 36.9 | 2.435 | 17 |
| 42.3 | 2.137 | 21 |
| 45.9 | 1.976 | 13 |
| 51.5 | 1.775 | 22 |
| 54.9 | 1.673 | 13 |

# 10
Structure and simulated powder diffraction line list of La2Nd2SmHo (a crystal structure in Alexandria, relaxed with PBE; Cu Kα, 1.54184 Å).
Lines closer than 0.1° are merged.

Structure:
a = 7.158 Å, b = 5.799 Å, c = 10.024 Å
α = 90.00°, β = 90.00°, γ = 90.00°
Atoms (fractional coordinates):
La 0.000 0.000 0.000
La 0.250 0.500 0.176
La 0.500 0.000 0.000
La 0.750 0.500 0.824
Nd 0.250 0.000 0.333
Nd 0.250 0.500 0.835
Nd 0.750 0.000 0.667
Nd 0.750 0.500 0.165
Sm 0.250 0.000 0.659
Sm 0.750 0.000 0.341
Ho 0.000 0.500 0.500
Ho 0.500 0.500 0.500

The 10 most intense peaks (2θ = 5–70°), sorted by position:
| two_theta | d_spacing | intensity |
| --- | --- | --- |
| 24.9 | 3.579 | 6 |
| 30.7 | 2.914 | 92 |
| 30.9 | 2.897 | 100 |
| 40.0 | 2.252 | 10 |
| 44.1 | 2.054 | 34 |
| 51.0 | 1.789 | 8 |
| 54.8 | 1.676 | 36 |
| 54.9 | 1.672 | 19 |
| 60.8 | 1.522 | 29 |
| 64.4 | 1.448 | 8 |

# 11
Structure and simulated powder diffraction line list of LaNdSm4Ho2 (a crystal structure in Alexandria, relaxed with PBE; Cu Kα, 1.54184 Å).
Lines closer than 0.1° are merged.

Structure:
a = 9.592 Å, b = 9.592 Å, c = 6.285 Å
α = 102.64°, β = 102.64°, γ = 98.22°
Atoms (fractional coordinates):
La 0.063 0.937 0.500
La 0.937 0.063 0.000
Nd 0.064 0.440 0.004
Nd 0.440 0.064 0.504
Sm 0.190 0.317 0.508
Sm 0.192 0.810 0.000
Sm 0.316 0.686 0.504
Sm 0.317 0.190 0.008
Sm 0.685 0.811 0.496
Sm 0.686 0.316 0.004
Sm 0.810 0.192 0.500
Sm 0.811 0.685 0.996
Ho 0.441 0.563 0.003
Ho 0.563 0.441 0.503
Ho 0.563 0.936 0.000
Ho 0.936 0.563 0.500

The 6 most intense peaks (2θ = 5–70°), sorted by position:
| two_theta | d_spacing | intensity |
| --- | --- | --- |
| 9.6 | 9.169 | 1 |
| 30.2 | 2.961 | 100 |
| 35.0 | 2.564 | 51 |
| 50.3 | 1.813 | 36 |
| 59.8 | 1.546 | 43 |
| 62.8 | 1.480 | 12 |

# 12
Structure and simulated powder diffraction line list of La2Nd4SmHo (a crystal structure in Alexandria, relaxed with PBE; Cu Kα, 1.54184 Å).
Lines closer than 0.1° are merged.

Structure:
a = 5.178 Å, b = 5.192 Å, c = 10.431 Å
α = 90.00°, β = 90.13°, γ = 90.00°
Atoms (fractional coordinates):
La 0.000 0.000 0.000
La 0.500 0.500 0.500
Nd 0.000 0.500 0.251
Nd 0.000 0.500 0.749
Nd 0.499 0.000 0.748
Nd 0.501 0.000 0.252
Sm 0.500 0.500 0.000
Ho 0.000 0.000 0.500

The 10 most intense peaks (2θ = 5–70°), sorted by position:
| two_theta | d_spacing | intensity |
| --- | --- | --- |
| 29.8 | 2.999 | 100 |
| 34.4 | 2.608 | 17 |
| 34.5 | 2.596 | 17 |
| 34.6 | 2.589 | 17 |
| 49.5 | 1.840 | 18 |
| 49.7 | 1.834 | 18 |
| 58.8 | 1.571 | 15 |
| 59.0 | 1.566 | 14 |
| 59.1 | 1.563 | 14 |
| 61.8 | 1.501 | 6 |

# 13
Structure and simulated powder diffraction line list of La4TbNdHo2 (a crystal structure in Alexandria, relaxed with PBE; Cu Kα, 1.54184 Å).
Lines closer than 0.1° are merged.

Structure:
a = 5.216 Å, b = 5.252 Å, c = 10.098 Å
α = 90.00°, β = 90.00°, γ = 90.00°
Atoms (fractional coordinates):
La 0.000 0.000 0.248
La 0.000 0.000 0.752
La 0.500 0.500 0.248
La 0.500 0.500 0.752
Tb 0.000 0.500 0.000
Nd 0.500 0.000 0.500
Ho 0.000 0.500 0.500
Ho 0.500 0.000 0.000

The 10 most intense peaks (2θ = 5–70°), sorted by position:
| two_theta | d_spacing | intensity |
| --- | --- | --- |
| 29.9 | 2.985 | 100 |
| 34.1 | 2.626 | 18 |
| 34.4 | 2.608 | 17 |
| 35.6 | 2.524 | 16 |
| 49.2 | 1.850 | 13 |
| 50.1 | 1.820 | 12 |
| 58.5 | 1.577 | 15 |
| 58.9 | 1.569 | 15 |
| 60.4 | 1.532 | 14 |
| 62.2 | 1.492 | 12 |

# 14
Structure and simulated powder diffraction line list of La2Tb4NdHo (a crystal structure in Alexandria, relaxed with PBE; Cu Kα, 1.54184 Å).
Lines closer than 0.1° are merged.

Structure:
a = 5.129 Å, b = 5.162 Å, c = 10.152 Å
α = 90.00°, β = 90.05°, γ = 90.00°
Atoms (fractional coordinates):
La 0.000 0.000 0.000
La 0.500 0.500 0.500
Tb 0.000 0.500 0.248
Tb 0.000 0.500 0.752
Tb 0.500 0.000 0.248
Tb 0.500 0.000 0.752
Nd 0.000 0.000 0.500
Ho 0.500 0.500 0.000

The 10 most intense peaks (2θ = 5–70°), sorted by position:
| two_theta | d_spacing | intensity |
| --- | --- | --- |
| 30.2 | 2.957 | 100 |
| 34.8 | 2.581 | 17 |
| 35.0 | 2.565 | 17 |
| 35.4 | 2.538 | 16 |
| 50.1 | 1.819 | 12 |
| 50.4 | 1.810 | 12 |
| 59.5 | 1.553 | 15 |
| 59.8 | 1.546 | 14 |
| 60.3 | 1.534 | 14 |
| 62.9 | 1.479 | 12 |